Structure and calculated powder diffraction line list of Sc2CuOs (a GGA-PBE-relaxed structure; copper Kα).
Lines closer than 0.1° are merged.

Most intense lines, 10 to 80 degrees two-theta, in order of rising 2θ:
index	2θ/deg	d/Å	Rel. int.
1 1 1	23.82	3.735	28
2 0 0	27.58	3.235	29
2 2 0	39.40	2.287	100
3 1 1	46.56	1.951	15
2 2 2	48.76	1.867	9
4 0 0	56.94	1.617	16
4 2 0	64.41	1.447	12
4 2 2	71.44	1.321	33

Atomic structure:
a b c (Å): 6.4692 6.4692 6.4692
angles (deg): 90.00 90.00 90.00
Element x y z (fractional)
Sc 0.2500 0.2500 0.2500
Sc 0.2500 0.2500 0.7500
Sc 0.2500 0.7500 0.2500
Sc 0.2500 0.7500 0.7500
Sc 0.7500 0.2500 0.2500
Sc 0.7500 0.2500 0.7500
Sc 0.7500 0.7500 0.2500
Sc 0.7500 0.7500 0.7500
Cu 0.0000 0.0000 0.0000
Cu 0.0000 0.5000 0.5000
Cu 0.5000 0.0000 0.5000
Cu 0.5000 0.5000 0.0000
Os 0.0000 0.0000 0.5000
Os 0.0000 0.5000 0.0000
Os 0.5000 0.0000 0.0000
Os 0.5000 0.5000 0.5000